Structure and simulated powder diffraction line list of Rb4Mn3Cl10 (a PBE-relaxed structure; copper Kα).

Crystal structure
Cell lengths 5.103, 5.103, 36.607 Å; angles 90.00, 90.00, 90.00 degrees
Space group I4/mmm (No. 139)
One atom of each set of equivalent atoms:
Rb 0.000 0.000 0.068 [4 per cell]
Rb 0.000 0.000 0.200 [4 per cell]
Mn 0.000 0.000 0.359 [4 per cell]
Mn 0.000 0.000 0.500 [2 per cell]
Cl 0.000 0.000 0.291 [4 per cell]
Cl 0.000 0.000 0.431 [4 per cell]
Cl 0.000 0.500 0.000 [4 per cell]
Cl 0.000 0.500 0.138 [8 per cell]

Top 10 peaks for 10° ≤ 2θ ≤ 80°, low angle first:
d/Å, 2θ/deg, intensity, (hkl)
3.652, 24.4, 79, 1 0 7
3.608, 24.7, 66, 1 1 0
2.833, 31.6, 75, 1 1 8
2.615, 34.3, 37, 0 0 14
2.551, 35.2, 100, 2 0 0
2.092, 43.3, 35, 2 1 7
1.826, 49.9, 46, 2 0 14
1.804, 50.6, 32, 2 2 0
1.522, 60.9, 20, 3 1 8
1.485, 62.6, 22, 2 2 14